Calculated powder diffraction line list
Compound: SrRuIO6
Radiation: Cu Ka
Structure: a structure optimized by DFT (GGA-PBE)
Peak positions follow from Bragg's law for the DFT cell and can differ from measured ones.

Atomic structure:
Cell: 5.3522 5.3522 5.3821 Å, 90.00 90.00 120.00°
Sites, in units of the cell vectors:
Sr1 0.0000 0.0000 0.0000
Ru1 0.3333 0.6667 0.5000
I1 0.6667 0.3333 0.5000
O1 0.0008 0.3709 0.7024
O2 0.0008 0.6299 0.2976
O3 0.3701 0.3709 0.2976
O4 0.3701 0.9992 0.7024
O5 0.6291 0.6299 0.7024
O6 0.6291 0.9992 0.2976

Most intense lines, 15 to 90 degrees two-theta, by angle:
| two_theta | intensity | h k l |
| --- | --- | --- |
| 16.5 | 33.1 | 0 0 1 |
| 25.4 | 100.0 | 1 0 1 |
| 33.3 | 10.3 | 0 0 2 |
| 33.5 | 40.5 | 1 1 0 |
| 37.5 | 17.9 | 2 -1 1 |
| 42.5 | 22.0 | 2 0 1 |
| 47.9 | 50.6 | 2 -1 2 |
| 54.9 | 10.2 | 1 0 3 |
| 55.1 | 22.2 | 3 -1 1 |
| 59.9 | 15.2 | 3 0 0 |